1.
Calculated XRD peak list of Dy3YZn2 for Cu Kα, 1.54184 Å, from a DFT-relaxed cell (GGA-PBE, Alexandria).
Intensities are scaled so that the largest is 100.

Atomic structure:
Unit cell a=5.0133 b=9.0567 c=6.8065 alpha=90.00 beta=90.00 gamma=90.00
Space group Pmc2_1 (No. 26)
One atom of each set of equivalent atoms:
Dy 0.0000 0.0578 0.0000 x2
Dy 0.0000 0.3247 0.3498 x2
Dy 0.5000 0.1731 0.6819 x2
Y 0.5000 0.4431 0.0317 x2
Zn 0.0000 0.3511 0.7860 x2
Zn 0.5000 0.1498 0.2453 x2

Largest 12 diffraction maxima, in order of rising 2θ, 2θ from 15° to 90°:
2theta, Rel. int., hkl
24.1, 24, 1 1 1
29.6, 72, 1 2 1
31.8, 53, 1 0 2
32.4, 23, 0 3 1
32.9, 35, 0 2 2
33.3, 100, 1 1 2
34.7, 99, 1 3 0
35.8, 71, 2 0 0
39.9, 23, 0 3 2
49.4, 22, 2 2 2
54.7, 21, 2 3 2
60.7, 41, 1 4 3

2.
Calculated XRD peak list of Dy14YZr for Cu Kα, 1.54184 Å, from a DFT-relaxed cell (GGA-PBE, Alexandria).
Intensities are scaled so that the largest is 100.

Atomic structure:
Unit cell a=7.0423 b=7.0423 c=9.9275 alpha=90.00 beta=90.00 gamma=90.00
Space group P4/mmm (No. 123)
One atom of each set of equivalent atoms:
Dy 0.0000 0.0000 0.0000 x1
Dy 0.0000 0.5000 0.0000 x2
Dy 0.0000 0.5000 0.5000 x2
Dy 0.2448 0.2448 0.2548 x8
Dy 0.5000 0.5000 0.0000 x1
Y 0.5000 0.5000 0.5000 x1
Zr 0.0000 0.0000 0.5000 x1

Largest 12 diffraction maxima, in order of rising 2θ, 2θ from 15° to 90°:
2theta, Rel. int., hkl
31.1, 100, 2 0 2
36.1, 34, 2 2 0
36.2, 17, 0 0 4
52.0, 36, 4 0 0
61.8, 28, 4 2 2
62.0, 14, 2 0 6
64.9, 12, 4 0 4
76.5, 4, 4 4 0
84.9, 6, 6 0 2
85.0, 12, 4 2 6
87.7, 11, 6 2 0
87.9, 5, 2 2 8

3.
Calculated XRD peak list of Dy8Y4Zr for Cu Kα, 1.54184 Å, from a DFT-relaxed cell (GGA-PBE, Alexandria).
Intensities are scaled so that the largest is 100.

Atomic structure:
Unit cell a=10.8816 b=10.8816 c=13.2453 alpha=90.00 beta=90.00 gamma=120.00
Space group R-3m (No. 166, hexagonal axes)
One atom of each set of equivalent atoms:
Dy 0.0000 0.0000 0.2454 x6
Dy 0.0051 0.5026 0.7475 x18
Y 0.0000 0.0000 0.0000 x3
Y 0.0000 0.5000 0.0000 x9
Zr 0.0000 0.0000 0.5000 x3

Largest 12 diffraction maxima, in order of rising 2θ, 2θ from 15° to 90°:
2theta, Rel. int., hkl
23.2, 54, 2 0 2
32.9, 100, 2 2 0
33.1, 99, 0 2 4
40.6, 13, 0 4 2
47.4, 36, 4 0 4
53.3, 12, 4 2 2
53.5, 11, 2 2 6
58.9, 56, 6 0 0
59.1, 18, 2 0 8
69.1, 11, 4 4 0
78.7, 16, 6 2 4
79.0, 16, 4 2 8

4.
Calculated XRD peak list of Dy12Y2Zr for Cu Kα, 1.54184 Å, from a DFT-relaxed cell (GGA-PBE, Alexandria).
Intensities are scaled so that the largest is 100.

Atomic structure:
Unit cell a=7.0200 b=11.1939 c=24.3082 alpha=90.00 beta=90.00 gamma=90.00
Space group Cmme (No. 67)
One atom of each set of equivalent atoms:
Dy 0.0000 0.9997 0.0711 x8
Dy 0.0000 0.0129 0.4377 x8
Dy 0.2395 0.2500 0.5876 x8
Dy 0.2500 0.0000 0.1956 x8
Dy 0.2500 0.0000 0.3242 x8
Dy 0.2497 0.2500 0.1187 x8
Y 0.0000 0.2500 0.2664 x4
Y 0.0000 0.2500 0.7372 x4
Zr 0.0000 0.2500 0.0001 x4

Largest 12 diffraction maxima, in order of rising 2θ, 2θ from 15° to 90°:
2theta, Rel. int., hkl
26.4, 18, 2 0 2
29.4, 29, 0 0 8
30.3, 27, 0 2 7
31.0, 81, 2 2 2
32.0, 79, 0 4 0
33.6, 100, 0 2 8
37.5, 63, 2 2 6
44.0, 19, 2 4 4
52.1, 18, 4 0 0
58.0, 20, 0 6 8
62.5, 22, 4 4 0
63.4, 24, 4 2 8

5.
Calculated XRD peak list of Dy6Y3Zr for Cu Kα, 1.54184 Å, from a DFT-relaxed cell (GGA-PBE, Alexandria).
Intensities are scaled so that the largest is 100.

Atomic structure:
Unit cell a=4.9126 b=11.4231 c=11.4199 alpha=90.00 beta=90.06 gamma=90.00
Space group P2_1/c (No. 14)
One atom of each set of equivalent atoms:
Dy 0.0004 0.1434 0.1435 x4
Dy 0.4995 0.5062 0.2151 x4
Dy 0.5000 0.2150 0.5062 x4
Y 0.0000 0.0000 0.5000 x2
Y 0.9996 0.1518 0.8484 x4
Zr 0.5000 0.0000 0.0000 x2

Largest 12 diffraction maxima, in order of rising 2θ, 2θ from 15° to 90°:
2theta, Rel. int., hkl
22.0, 20, 0 2 2
28.6, 64, 1 2 2
30.7, 100, 1 3 -1
33.3, 39, 0 3 3
36.4, 82, 1 0 -4
36.6, 39, 2 0 0
44.9, 23, 0 4 4
50.3, 24, 2 3 3
59.2, 20, 2 4 -4
62.2, 13, 3 3 -1
65.0, 43, 1 7 3
65.7, 15, 3 0 -4

6.
Calculated XRD peak list of DyYZr for Cu Kα, 1.54184 Å, from a DFT-relaxed cell (GGA-PBE, Alexandria).
Intensities are scaled so that the largest is 100.

Atomic structure:
Unit cell a=3.4393 b=3.4393 c=50.1444 alpha=90.00 beta=90.00 gamma=120.00
Space group R-3m (No. 166, hexagonal axes)
One atom of each set of equivalent atoms:
Dy 0.0000 0.0000 0.1380 x6
Y 0.0000 0.0000 0.4116 x6
Zr 0.0000 0.0000 0.3092 x6

Largest 12 diffraction maxima, in order of rising 2θ, 2θ from 15° to 90°:
2theta, Rel. int., hkl
26.7, 11, 0 0 15
30.9, 57, 1 0 4
32.1, 45, 0 0 18
32.6, 92, 1 0 7
36.0, 100, 0 1 11
50.4, 27, 1 0 22
53.3, 36, 1 1 0
62.1, 21, 0 1 29
63.6, 37, 1 1 18
63.8, 13, 0 2 7
66.0, 17, 2 0 11
89.7, 15, 1 2 11

7.
Calculated XRD peak list of DyYZr for Cu Kα, 1.54184 Å, from a DFT-relaxed cell (GGA-PBE, Alexandria).
Intensities are scaled so that the largest is 100.

Atomic structure:
Unit cell a=3.4273 b=4.7411 c=10.5119 alpha=90.00 beta=90.00 gamma=90.00
Space group Pmmn (No. 59, origin choice 2)
One atom of each set of equivalent atoms:
Dy 0.2500 0.2500 0.2297 x2
Y 0.2500 0.2500 0.5919 x2
Zr 0.2500 0.2500 0.9296 x2

Largest 12 diffraction maxima, in order of rising 2θ, 2θ from 15° to 90°:
2theta, Rel. int., hkl
20.6, 12, 0 1 1
31.8, 95, 0 1 3
32.2, 100, 1 1 0
36.7, 68, 1 0 3
38.0, 32, 0 2 0
53.5, 12, 2 0 0
53.8, 42, 1 2 3
62.7, 20, 1 1 6
63.5, 25, 2 1 3
64.7, 12, 0 3 3
65.0, 13, 1 3 0
87.9, 13, 3 1 0

8.
Calculated XRD peak list of Dy2YZr for Cu Kα, 1.54184 Å, from a DFT-relaxed cell (GGA-PBE, Alexandria).
Intensities are scaled so that the largest is 100.

Atomic structure:
Unit cell a=4.8759 b=4.8759 c=4.8619 alpha=90.00 beta=90.00 gamma=90.00
Space group P4/mmm (No. 123)
One atom of each set of equivalent atoms:
Dy 0.0000 0.5000 0.0000 x2
Y 0.0000 0.0000 0.5000 x1
Zr 0.5000 0.5000 0.5000 x1

Largest 12 diffraction maxima, in order of rising 2θ, 2θ from 15° to 90°:
2theta, Rel. int., hkl
18.2, 7, 0 0 1
25.8, 6, 1 1 0
31.8, 100, 1 1 1
36.9, 34, 2 0 0
37.0, 17, 0 0 2
53.2, 35, 2 2 0
63.3, 27, 3 1 1
63.4, 14, 1 1 3
66.5, 12, 2 2 2
87.1, 6, 3 3 1
87.3, 11, 3 1 3
90.0, 5, 4 2 0